Starting from a cell relaxed with GGA-PBE, the powder X-ray diffraction pattern of CsLiTe2 was calculated for Cu Ka.
Neutral-atom scattering factors, no anomalous dispersion.

Main lines, sorted by position (15 to 90 degrees two-theta):
2θ 20.4, I 530; 2θ 22.7, I 348; 2θ 23.5, I 682; 2θ 25.4, I 1000; 2θ 25.5, I 328; 2θ 26.4, I 655; 2θ 27.4, I 931; 2θ 27.9, I 291; 2θ 32.3, I 339; 2θ 35.2, I 329

Cell and atoms:
```
8
Lattice="5.0199 0.0000 0.0000 -2.3587 7.4823 0.0000 -1.5213 -1.0767 8.5215" Properties=species:S:1:pos:R:3 pbc="T T T"
Cs 0.0000 0.0000 0.0000
Cs -0.0939 1.0970 4.7730
Li -0.2488 3.7028 1.6560
Li 2.3178 4.3785 3.6233
Te -1.3256 4.5807 6.0305
Te -0.1428 5.7256 3.7008
Te 0.1511 2.7550 8.1862
Te 2.4390 2.1633 2.0001
```

=====

Starting from a cell relaxed with GGA-PBE, the powder X-ray diffraction pattern of Mn3HOs was calculated for Cu Ka.
Neutral-atom scattering factors, no anomalous dispersion.

Main lines, sorted by position (15 to 90 degrees two-theta):
2θ 16.9, I 258; 2θ 19.7, I 265; 2θ 26.2, I 173; 2θ 27.5, I 188; 2θ 34.0, I 206; 2θ 39.9, I 243; 2θ 43.8, I 437; 2θ 45.6, I 504; 2θ 45.8, I 1000; 2θ 82.0, I 172

Cell and atoms:
```
10
Lattice="4.5084 0.0000 0.0000 0.0000 4.1299 0.0000 -0.0315 0.0000 5.2402" Properties=species:S:1:pos:R:3 pbc="T T T"
Mn 0.3132 0.0000 0.6571
Mn 0.3501 4.1234 3.2931
Mn 1.8122 2.0449 3.2691
Mn 2.6647 4.1099 1.9711
Mn 4.1268 2.0585 1.9471
Mn 4.1637 2.0650 4.5831
H 1.0764 3.1851 2.0228
H 3.4005 1.1202 3.2174
Os 1.8681 2.0193 0.6657
Os 2.6088 4.0843 4.5745
```